[1]
Calculated powder X-ray diffraction pattern
Compound: MnPtO4
Radiation: Cu Kα
Structure: the GGA+U geometry in Alexandria
Neutral-atom scattering factors, no anomalous dispersion.

Most intense lines, 5° ≤ 2θ ≤ 70°, low angle first:
d (Å), two_theta, I/Imax
5.080, 17.5, 39.7
3.423, 26.0, 30.6
3.215, 27.7, 100.0
2.570, 34.9, 38.8
2.549, 35.2, 23.2
2.540, 35.3, 23.2
1.710, 53.6, 31.6
1.691, 54.2, 20.3
1.685, 54.4, 17.9
1.607, 57.3, 14.9

Structural model:
Cell lengths 5.4317, 4.6196, 5.4510 Å; angles 90.00, 110.72, 90.00 degrees
Sites, in units of the cell vectors:
1 Mn 0.0000 0.0000 0.0000
2 Mn 0.0000 0.5000 0.5000
3 Pt 0.5000 0.0000 0.5000
4 Pt 0.5000 0.5000 0.0000
5 O 0.1332 0.1713 0.3513
6 O 0.1332 0.3287 0.8513
7 O 0.3582 0.6568 0.6292
8 O 0.3582 0.8432 0.1292
9 O 0.6418 0.1568 0.8708
10 O 0.6418 0.3432 0.3708
11 O 0.8668 0.6713 0.1487
12 O 0.8668 0.8287 0.6487

[2]
Calculated powder X-ray diffraction pattern
Compound: PuMnRhO6
Radiation: Cu Kα
Structure: the GGA+U geometry in Alexandria
Neutral-atom scattering factors, no anomalous dispersion.

Most intense lines, 5° ≤ 2θ ≤ 70°, low angle first:
d (Å), two_theta, I/Imax
4.783, 18.5, 67.9
4.489, 19.8, 27.6
4.064, 21.9, 37.3
3.273, 27.2, 100.0
2.592, 34.6, 62.2
2.279, 39.5, 62.0
2.032, 44.6, 26.0
1.758, 52.0, 67.1
1.599, 57.6, 24.2
1.497, 62.0, 26.7

Structural model:
Cell lengths 5.1833, 5.1833, 9.5667 Å; angles 90.00, 90.00, 120.00 degrees
Sites, in units of the cell vectors:
1 Pu 0.3333 0.6667 0.2500
2 Pu 0.6667 0.3333 0.7500
3 Mn 0.0000 0.0000 0.0000
4 Mn 0.0000 0.0000 0.5000
5 Rh 0.3333 0.6667 0.7500
6 Rh 0.6667 0.3333 0.2500
7 O 0.0039 0.3437 0.6312
8 O 0.0039 0.6602 0.8688
9 O 0.3398 0.3437 0.8688
10 O 0.3398 0.9961 0.6312
11 O 0.3437 0.0039 0.1312
12 O 0.3437 0.3398 0.3688
13 O 0.6563 0.6602 0.6312
14 O 0.6563 0.9961 0.8688
15 O 0.6602 0.0039 0.3688
16 O 0.6602 0.6563 0.1312
17 O 0.9961 0.3398 0.1312
18 O 0.9961 0.6563 0.3688

[3]
Calculated powder X-ray diffraction pattern
Compound: SmPuMn2O8
Radiation: Cu Kα
Structure: the GGA+U geometry in Alexandria
Neutral-atom scattering factors, no anomalous dispersion.

Most intense lines, 5° ≤ 2θ ≤ 70°, low angle first:
d (Å), two_theta, I/Imax
4.859, 18.3, 64.2
3.532, 25.2, 100.0
2.857, 31.3, 21.7
2.780, 32.2, 88.3
2.498, 36.0, 23.6
2.221, 40.6, 16.0
1.858, 49.0, 66.3
1.766, 51.8, 16.8
1.580, 58.4, 15.9
1.491, 62.3, 18.4

Structural model:
Cell lengths 6.0126, 6.0126, 6.0126 Å; angles 108.05, 108.05, 112.36 degrees
Sites, in units of the cell vectors:
1 Sm 0.0000 0.0000 0.0000
2 Pu 0.7500 0.2500 0.5000
3 Mn 0.2500 0.7500 0.5000
4 Mn 0.5000 0.5000 0.0000
5 O 0.0802 0.3999 0.3197
6 O 0.0802 0.7605 0.6803
7 O 0.0868 0.2969 0.7899
8 O 0.2395 0.9198 0.3197
9 O 0.5070 0.2969 0.2101
10 O 0.6001 0.9198 0.6803
11 O 0.7031 0.4930 0.7899
12 O 0.7031 0.9132 0.2101

[4]
Calculated powder X-ray diffraction pattern
Compound: Sr3PuMn2O9
Radiation: Cu Kα
Structure: the GGA+U geometry in Alexandria
Neutral-atom scattering factors, no anomalous dispersion.

Most intense lines, 5° ≤ 2θ ≤ 70°, low angle first:
d (Å), two_theta, I/Imax
4.954, 17.9, 31.5
4.070, 21.8, 44.0
2.896, 30.9, 100.0
2.860, 31.3, 86.8
2.035, 44.5, 61.8
1.679, 54.7, 14.4
1.658, 55.4, 39.4
1.651, 55.7, 17.3
1.448, 64.3, 14.8
1.430, 65.2, 17.3

Structural model:
Cell lengths 5.7202, 5.7202, 7.1396 Å; angles 90.00, 90.00, 120.00 degrees
Sites, in units of the cell vectors:
1 Sr 0.0000 0.0000 0.0000
2 Sr 0.3333 0.6667 0.7053
3 Sr 0.6667 0.3333 0.2947
4 Pu 0.0000 0.0000 0.5000
5 Mn 0.3333 0.6667 0.1560
6 Mn 0.6667 0.3333 0.8440
7 O 0.0000 0.5000 0.0000
8 O 0.1672 0.3343 0.3294
9 O 0.1672 0.8328 0.3294
10 O 0.3343 0.1672 0.6706
11 O 0.5000 0.0000 0.0000
12 O 0.5000 0.5000 0.0000
13 O 0.6657 0.8328 0.3294
14 O 0.8328 0.1672 0.6706
15 O 0.8328 0.6657 0.6706

[5]
Calculated powder X-ray diffraction pattern
Compound: SrPuMn2O8
Radiation: Cu Kα
Structure: the GGA+U geometry in Alexandria
Neutral-atom scattering factors, no anomalous dispersion.

Most intense lines, 5° ≤ 2θ ≤ 70°, low angle first:
d (Å), two_theta, I/Imax
5.096, 17.4, 29.8
4.890, 18.1, 64.2
3.604, 24.7, 100.0
2.901, 30.8, 22.9
2.787, 32.1, 84.9
2.548, 35.2, 21.6
1.880, 48.4, 64.2
1.802, 50.7, 17.8
1.612, 57.2, 15.9
1.513, 61.3, 17.8

Structural model:
Cell lengths 6.0866, 6.0866, 6.0866 Å; angles 107.40, 107.40, 113.71 degrees
Sites, in units of the cell vectors:
1 Sr 0.0000 0.0000 0.0000
2 Pu 0.7500 0.2500 0.5000
3 Mn 0.2500 0.7500 0.5000
4 Mn 0.5000 0.5000 0.0000
5 O 0.0815 0.4061 0.3245
6 O 0.0815 0.7570 0.6755
7 O 0.0851 0.3105 0.7746
8 O 0.2430 0.9185 0.3245
9 O 0.5358 0.3105 0.2254
10 O 0.5939 0.9185 0.6755
11 O 0.6895 0.4642 0.7746
12 O 0.6895 0.9149 0.2254

[6]
Calculated powder X-ray diffraction pattern
Compound: PuTaMnO6
Radiation: Cu Kα
Structure: the GGA+U geometry in Alexandria
Neutral-atom scattering factors, no anomalous dispersion.

Most intense lines, 5° ≤ 2θ ≤ 70°, low angle first:
d (Å), two_theta, I/Imax
4.759, 18.6, 41.1
4.578, 19.4, 70.6
3.299, 27.0, 100.0
2.748, 32.6, 77.9
2.356, 38.2, 75.7
2.111, 42.8, 28.7
1.759, 52.0, 62.6
1.674, 54.8, 28.0
1.586, 58.2, 25.5
1.499, 61.9, 19.9

Structural model:
Cell lengths 5.4951, 5.4951, 9.1565 Å; angles 90.00, 90.00, 120.00 degrees
Sites, in units of the cell vectors:
1 Pu 0.3333 0.6667 0.2500
2 Pu 0.6667 0.3333 0.7500
3 Ta 0.3333 0.6667 0.7500
4 Ta 0.6667 0.3333 0.2500
5 Mn 0.0000 0.0000 0.0000
6 Mn 0.0000 0.0000 0.5000
7 O 0.0186 0.3599 0.6340
8 O 0.0186 0.6587 0.8660
9 O 0.3413 0.3599 0.8660
10 O 0.3413 0.9814 0.6340
11 O 0.3599 0.0186 0.1340
12 O 0.3599 0.3413 0.3660
13 O 0.6401 0.6587 0.6340
14 O 0.6401 0.9814 0.8660
15 O 0.6587 0.0186 0.3660
16 O 0.6587 0.6401 0.1340
17 O 0.9814 0.3413 0.1340
18 O 0.9814 0.6401 0.3660

[7]
Calculated powder X-ray diffraction pattern
Compound: Tb2PuMnO8
Radiation: Cu Kα
Structure: the GGA+U geometry in Alexandria
Neutral-atom scattering factors, no anomalous dispersion.

Most intense lines, 5° ≤ 2θ ≤ 70°, low angle first:
d (Å), two_theta, I/Imax
6.943, 12.8, 25.5
3.926, 22.6, 45.9
3.650, 24.4, 91.6
3.390, 26.3, 79.3
2.932, 30.5, 100.0
2.766, 32.4, 64.0
2.484, 36.2, 41.3
1.992, 45.5, 33.4
1.840, 49.5, 21.5
1.812, 50.4, 23.6

Structural model:
Cell lengths 4.9900, 4.9953, 6.9720 Å; angles 86.08, 86.23, 85.53 degrees
Sites, in units of the cell vectors:
1 Tb 0.0368 0.0351 0.2336
2 Tb 0.9632 0.9649 0.7664
3 Pu 0.5000 0.5000 0.5000
4 Mn 0.5000 0.5000 0.0000
5 O 0.2044 0.7891 0.5008
6 O 0.2138 0.7846 0.9999
7 O 0.2983 0.2911 0.6878
8 O 0.3437 0.3420 0.2440
9 O 0.6563 0.6580 0.7560
10 O 0.7017 0.7089 0.3122
11 O 0.7862 0.2154 0.0001
12 O 0.7956 0.2109 0.4992

[8]
Calculated powder X-ray diffraction pattern
Compound: PuMnTlO4
Radiation: Cu Kα
Structure: the GGA+U geometry in Alexandria
Neutral-atom scattering factors, no anomalous dispersion.

Most intense lines, 5° ≤ 2θ ≤ 70°, low angle first:
d (Å), two_theta, I/Imax
5.577, 15.9, 31.5
3.463, 25.7, 47.4
3.390, 26.3, 41.3
2.984, 29.9, 100.0
2.945, 30.4, 64.5
2.918, 30.6, 32.0
2.866, 31.2, 29.0
2.189, 41.2, 22.3
1.869, 48.7, 32.4
1.731, 52.9, 42.3

Structural model:
Cell lengths 6.9288, 6.9288, 6.9288 Å; angles 121.41, 118.71, 89.91 degrees
Sites, in units of the cell vectors:
1 Pu 0.0000 0.0000 0.0000
2 Pu 0.5000 0.0000 0.5000
3 Mn 0.5000 0.0000 0.0000
4 Mn 0.5000 0.5000 0.5000
5 Tl 0.1050 0.3550 0.7500
6 Tl 0.8950 0.6450 0.2500
7 O 0.2561 0.2034 0.4473
8 O 0.2561 0.8087 0.0527
9 O 0.2670 0.2128 0.0542
10 O 0.3414 0.7872 0.5542
11 O 0.6586 0.2128 0.4458
12 O 0.7330 0.7872 0.9458
13 O 0.7439 0.1913 0.9473
14 O 0.7439 0.7966 0.5527

[9]
Calculated powder X-ray diffraction pattern
Compound: YPuMnO6
Radiation: Cu Kα
Structure: the GGA+U geometry in Alexandria
Neutral-atom scattering factors, no anomalous dispersion.

Most intense lines, 5° ≤ 2θ ≤ 70°, low angle first:
d (Å), two_theta, I/Imax
4.918, 18.0, 31.6
4.487, 19.8, 54.0
4.312, 20.6, 65.4
3.314, 26.9, 100.0
2.839, 31.5, 75.9
2.399, 37.5, 67.0
2.156, 41.9, 30.1
1.760, 51.9, 60.2
1.717, 53.4, 29.5
1.639, 56.1, 27.7

Structural model:
Cell lengths 5.6784, 5.6784, 8.9732 Å; angles 90.00, 90.00, 120.00 degrees
Sites, in units of the cell vectors:
1 Y 0.3333 0.6667 0.2500
2 Y 0.6667 0.3333 0.7500
3 Pu 0.3333 0.6667 0.7500
4 Pu 0.6667 0.3333 0.2500
5 Mn 0.0000 0.0000 0.0000
6 Mn 0.0000 0.0000 0.5000
7 O 0.0341 0.3614 0.6302
8 O 0.0341 0.6727 0.8698
9 O 0.3273 0.3614 0.8698
10 O 0.3273 0.9659 0.6302
11 O 0.3614 0.0341 0.1302
12 O 0.3614 0.3273 0.3698
13 O 0.6386 0.6727 0.6302
14 O 0.6386 0.9659 0.8698
15 O 0.6727 0.0341 0.3698
16 O 0.6727 0.6386 0.1302
17 O 0.9659 0.3273 0.1302
18 O 0.9659 0.6386 0.3698

[10]
Calculated powder X-ray diffraction pattern
Compound: RbMn4O8
Radiation: Cu Kα
Structure: the GGA+U geometry in Alexandria
Neutral-atom scattering factors, no anomalous dispersion.

Most intense lines, 5° ≤ 2θ ≤ 70°, low angle first:
d (Å), two_theta, I/Imax
6.901, 12.8, 100.0
5.003, 17.7, 5.4
4.968, 17.9, 5.5
4.923, 18.0, 7.0
4.661, 19.0, 5.9
3.450, 25.8, 27.1
2.330, 38.6, 18.3
2.296, 39.2, 16.3
2.253, 40.0, 17.7
1.485, 62.5, 8.7

Structural model:
Cell lengths 5.8361, 5.9400, 7.6497 Å; angles 91.94, 111.00, 119.36 degrees
Sites, in units of the cell vectors:
1 Rb 0.0000 0.0000 0.0000
2 Mn 0.0000 0.0000 0.5000
3 Mn 0.0000 0.5000 0.5000
4 Mn 0.5000 0.0000 0.5000
5 Mn 0.5000 0.5000 0.5000
6 O 0.0774 0.7805 0.3601
7 O 0.0858 0.3116 0.3500
8 O 0.4265 0.2199 0.6383
9 O 0.4294 0.7213 0.6444
10 O 0.5706 0.2787 0.3556
11 O 0.5735 0.7801 0.3617
12 O 0.9142 0.6884 0.6500
13 O 0.9226 0.2195 0.6399

[11]
Calculated powder X-ray diffraction pattern
Compound: RbMnO2
Radiation: Cu Kα
Structure: the GGA+U geometry in Alexandria
Neutral-atom scattering factors, no anomalous dispersion.

Most intense lines, 5° ≤ 2θ ≤ 70°, low angle first:
d (Å), two_theta, I/Imax
7.585, 11.7, 19.7
5.481, 16.2, 17.8
3.377, 26.4, 27.7
3.337, 26.7, 24.0
3.217, 27.7, 100.0
3.072, 29.1, 35.8
3.033, 29.4, 50.0
2.562, 35.0, 20.1
2.525, 35.6, 66.0
2.085, 43.4, 16.8

Structural model:
Cell lengths 6.6275, 7.9403, 8.6811 Å; angles 76.69, 88.07, 78.84 degrees
Sites, in units of the cell vectors:
1 Rb 0.0190 0.4593 0.2691
2 Rb 0.1525 0.1075 0.6191
3 Rb 0.1733 0.1298 0.0338
4 Rb 0.8267 0.8702 0.9662
5 Rb 0.8475 0.8925 0.3809
6 Rb 0.9810 0.5407 0.7309
7 Mn 0.4001 0.6722 0.0488
8 Mn 0.4029 0.6762 0.3816
9 Mn 0.4148 0.6778 0.7141
10 Mn 0.5852 0.3222 0.2859
11 Mn 0.5971 0.3238 0.6184
12 Mn 0.5999 0.3278 0.9512
13 O 0.2108 0.7643 0.2004
14 O 0.2267 0.7715 0.5356
15 O 0.2266 0.7768 0.8623
16 O 0.3886 0.3804 0.4476
17 O 0.3897 0.3821 0.1087
18 O 0.3973 0.3736 0.7806
19 O 0.6027 0.6264 0.2194
20 O 0.6103 0.6179 0.8913
21 O 0.6114 0.6196 0.5524
22 O 0.7734 0.2232 0.1377
23 O 0.7733 0.2285 0.4644
24 O 0.7892 0.2357 0.7996

[12]
Calculated powder X-ray diffraction pattern
Compound: Rb6MnO4
Radiation: Cu Kα
Structure: the GGA+U geometry in Alexandria
Neutral-atom scattering factors, no anomalous dispersion.

Most intense lines, 5° ≤ 2θ ≤ 70°, low angle first:
d (Å), two_theta, I/Imax
3.448, 25.8, 49.1
3.198, 27.9, 33.2
2.754, 32.5, 100.0
2.622, 34.2, 59.5
2.472, 36.3, 26.5
2.288, 39.4, 39.5
1.748, 52.3, 22.3
1.613, 57.1, 22.9
1.599, 57.6, 16.5
1.546, 59.8, 21.6

Structural model:
Cell lengths 9.1535, 9.1535, 6.9909 Å; angles 90.00, 90.00, 120.00 degrees
Sites, in units of the cell vectors:
1 Rb 0.0763 0.5382 0.0000
2 Rb 0.1442 0.2884 0.3345
3 Rb 0.1442 0.8558 0.3345
4 Rb 0.2884 0.1442 0.8345
5 Rb 0.4618 0.5382 0.0000
6 Rb 0.4618 0.9237 0.0000
7 Rb 0.5382 0.0763 0.5000
8 Rb 0.5382 0.4618 0.5000
9 Rb 0.7116 0.8558 0.3345
10 Rb 0.8558 0.1442 0.8345
11 Rb 0.8558 0.7116 0.8345
12 Rb 0.9237 0.4618 0.5000
13 Mn 0.3333 0.6667 0.6056
14 Mn 0.6667 0.3333 0.1056
15 O 0.2041 0.4082 0.7062
16 O 0.2041 0.7959 0.7062
17 O 0.3333 0.6667 0.3043
18 O 0.4082 0.2041 0.2062
19 O 0.5918 0.7959 0.7062
20 O 0.6667 0.3333 0.8043
21 O 0.7959 0.2041 0.2062
22 O 0.7959 0.5918 0.2062

Please write out number 6 again, unchanged.
Calculated powder X-ray diffraction pattern
Compound: PuTaMnO6
Radiation: Cu Kα
Structure: the GGA+U geometry in Alexandria
Neutral-atom scattering factors, no anomalous dispersion.

Most intense lines, 5° ≤ 2θ ≤ 70°, low angle first:
d (Å), two_theta, I/Imax
4.759, 18.6, 41.1
4.578, 19.4, 70.6
3.299, 27.0, 100.0
2.748, 32.6, 77.9
2.356, 38.2, 75.7
2.111, 42.8, 28.7
1.759, 52.0, 62.6
1.674, 54.8, 28.0
1.586, 58.2, 25.5
1.499, 61.9, 19.9

Structural model:
Cell lengths 5.4951, 5.4951, 9.1565 Å; angles 90.00, 90.00, 120.00 degrees
Sites, in units of the cell vectors:
1 Pu 0.3333 0.6667 0.2500
2 Pu 0.6667 0.3333 0.7500
3 Ta 0.3333 0.6667 0.7500
4 Ta 0.6667 0.3333 0.2500
5 Mn 0.0000 0.0000 0.0000
6 Mn 0.0000 0.0000 0.5000
7 O 0.0186 0.3599 0.6340
8 O 0.0186 0.6587 0.8660
9 O 0.3413 0.3599 0.8660
10 O 0.3413 0.9814 0.6340
11 O 0.3599 0.0186 0.1340
12 O 0.3599 0.3413 0.3660
13 O 0.6401 0.6587 0.6340
14 O 0.6401 0.9814 0.8660
15 O 0.6587 0.0186 0.3660
16 O 0.6587 0.6401 0.1340
17 O 0.9814 0.3413 0.1340
18 O 0.9814 0.6401 0.3660